Theoretical powder diffraction line list
Compound: ZnGeO3
Radiation: Cu Kα (weighted mean of Kα1 and Kα2)
Structure: the PBE geometry in OQMD
Intensities are scaled so that the largest is 100.

Peak list (8 most intense, 10 to 80 degrees two-theta, in order of rising 2θ)
28.76°, intensity 100; 35.39°, intensity 44; 37.07°, intensity 38; 38.00°, intensity 10; 44.05°, intensity 15; 54.13°, intensity 36; 57.72°, intensity 22; 69.52°, intensity 15

Crystal structure
```
data_ZnGeO3
_space_group_name_H-M_alt 'P 1'
_space_group_IT_number 1
_space_group_name_Hall 'P 1'
_cell_length_a 8.2236
_cell_length_b 3.0043
_cell_length_c 4.7343
_cell_angle_alpha 90.00
_cell_angle_beta 90.00
_cell_angle_gamma 90.00
loop_
_atom_site_label
_atom_site_type_symbol
_atom_site_fract_x
_atom_site_fract_y
_atom_site_fract_z
Zn1 Zn 0.0000 0.0000 0.0000
Zn2 Zn 0.5000 0.0000 0.0000
Ge1 Ge 0.2500 0.5000 0.4577
Ge2 Ge 0.7500 0.5000 0.5423
O1 O 0.0797 0.5000 0.2388
O2 O 0.2500 0.0000 0.6772
O3 O 0.4203 0.5000 0.2388
O4 O 0.5797 0.5000 0.7612
O5 O 0.7500 0.0000 0.3228
O6 O 0.9203 0.5000 0.7612
```

Theoretical powder diffraction line list
Compound: Ge4Os
Radiation: Cu Kα (weighted mean of Kα1 and Kα2)
Structure: the PBE geometry in OQMD
Intensities are scaled so that the largest is 100.

Peak list (8 most intense, 10 to 80 degrees two-theta, in order of rising 2θ)
20.30°, intensity 100; 28.95°, intensity 90; 37.24°, intensity 61; 39.94°, intensity 75; 40.06°, intensity 32; 41.26°, intensity 32; 46.42°, intensity 37; 46.56°, intensity 53

Crystal structure
```
data_Ge4Os
_space_group_name_H-M_alt 'P 1'
_space_group_IT_number 1
_space_group_name_Hall 'P 1'
_cell_length_a 4.7111
_cell_length_b 4.7111
_cell_length_c 8.6895
_cell_angle_alpha 90.24
_cell_angle_beta 90.24
_cell_angle_gamma 68.25
loop_
_atom_site_label
_atom_site_type_symbol
_atom_site_fract_x
_atom_site_fract_y
_atom_site_fract_z
Ge1 Ge 0.0126 0.4741 0.6483
Ge2 Ge 0.1644 0.6704 0.9950
Ge3 Ge 0.3296 0.8356 0.5050
Ge4 Ge 0.4741 0.0126 0.1483
Ge5 Ge 0.5259 0.9874 0.8517
Ge6 Ge 0.6704 0.1644 0.4950
Ge7 Ge 0.8356 0.3296 0.0050
Ge8 Ge 0.9874 0.5259 0.3517
Os1 Os 0.4926 0.5074 0.2500
Os2 Os 0.5074 0.4926 0.7500
```

Theoretical powder diffraction line list
Compound: Ge3Os2
Radiation: Cu Kα (weighted mean of Kα1 and Kα2)
Structure: the PBE geometry in OQMD
Intensities are scaled so that the largest is 100.

Peak list (8 most intense, 10 to 80 degrees two-theta, in order of rising 2θ)
24.48°, intensity 60; 30.84°, intensity 34; 39.76°, intensity 100; 44.18°, intensity 34; 44.67°, intensity 58; 51.15°, intensity 38; 64.64°, intensity 21; 72.97°, intensity 16

Crystal structure
```
data_Ge3Os2
_space_group_name_H-M_alt 'P 1'
_space_group_IT_number 1
_space_group_name_Hall 'P 1'
_cell_length_a 11.5868
_cell_length_b 9.3374
_cell_length_c 5.8033
_cell_angle_alpha 90.00
_cell_angle_beta 90.00
_cell_angle_gamma 90.00
loop_
_atom_site_label
_atom_site_type_symbol
_atom_site_fract_x
_atom_site_fract_y
_atom_site_fract_z
Ge1 Ge 0.0728 0.2138 0.0420
Ge2 Ge 0.0728 0.7862 0.5420
Ge3 Ge 0.1320 0.3946 0.6008
Ge4 Ge 0.1320 0.6054 0.1008
Ge5 Ge 0.1786 0.0657 0.4084
Ge6 Ge 0.1786 0.9343 0.9084
Ge7 Ge 0.3214 0.4343 0.9084
Ge8 Ge 0.3214 0.5657 0.4084
Ge9 Ge 0.3680 0.1054 0.1008
Ge10 Ge 0.3680 0.8946 0.6008
Ge11 Ge 0.4272 0.2862 0.5420
Ge12 Ge 0.4272 0.7138 0.0420
Ge13 Ge 0.5728 0.2862 0.9580
Ge14 Ge 0.5728 0.7138 0.4580
Ge15 Ge 0.6320 0.1054 0.3992
Ge16 Ge 0.6320 0.8946 0.8992
Ge17 Ge 0.6786 0.4343 0.5916
Ge18 Ge 0.6786 0.5657 0.0916
Ge19 Ge 0.8214 0.0657 0.0916
Ge20 Ge 0.8214 0.9343 0.5916
Ge21 Ge 0.8680 0.3946 0.8992
Ge22 Ge 0.8680 0.6054 0.3992
Ge23 Ge 0.9272 0.2138 0.4580
Ge24 Ge 0.9272 0.7862 0.9580
Os1 Os 0.0000 0.0408 0.7500
Os2 Os 0.0000 0.4259 0.2500
Os3 Os 0.0000 0.5741 0.7500
Os4 Os 0.0000 0.9592 0.2500
Os5 Os 0.2461 0.1863 0.7589
Os6 Os 0.2461 0.8137 0.2589
Os7 Os 0.2539 0.3137 0.2589
Os8 Os 0.2539 0.6863 0.7589
Os9 Os 0.5000 0.0741 0.7500
Os10 Os 0.5000 0.4592 0.2500
Os11 Os 0.5000 0.5408 0.7500
Os12 Os 0.5000 0.9259 0.2500
Os13 Os 0.7461 0.3137 0.2411
Os14 Os 0.7461 0.6863 0.7411
Os15 Os 0.7539 0.1863 0.7411
Os16 Os 0.7539 0.8137 0.2411
```

Theoretical powder diffraction line list
Compound: Ge7Os3
Radiation: Cu Kα (weighted mean of Kα1 and Kα2)
Structure: the PBE geometry in OQMD
Intensities are scaled so that the largest is 100.

Peak list (8 most intense, 10 to 80 degrees two-theta, in order of rising 2θ)
20.42°, intensity 46; 27.67°, intensity 55; 34.08°, intensity 100; 41.73°, intensity 61; 43.36°, intensity 56; 43.80°, intensity 88; 47.13°, intensity 40; 49.52°, intensity 50

Crystal structure
```
data_Ge7Os3
_space_group_name_H-M_alt 'P 1'
_space_group_IT_number 1
_space_group_name_Hall 'P 1'
_cell_length_a 4.7228
_cell_length_b 4.7228
_cell_length_c 20.8625
_cell_angle_alpha 90.00
_cell_angle_beta 90.00
_cell_angle_gamma 134.13
loop_
_atom_site_label
_atom_site_type_symbol
_atom_site_fract_x
_atom_site_fract_y
_atom_site_fract_z
Ge1 Ge 0.0611 0.9389 0.6669
Ge2 Ge 0.0611 0.9389 0.8331
Ge3 Ge 0.2249 0.7751 0.2500
Ge4 Ge 0.3357 0.6643 0.6331
Ge5 Ge 0.3357 0.6643 0.8669
Ge6 Ge 0.3601 0.6399 0.0328
Ge7 Ge 0.3601 0.6399 0.4672
Ge8 Ge 0.6399 0.3601 0.5328
Ge9 Ge 0.6399 0.3601 0.9672
Ge10 Ge 0.6643 0.3357 0.1331
Ge11 Ge 0.6643 0.3357 0.3669
Ge12 Ge 0.7751 0.2249 0.7500
Ge13 Ge 0.9389 0.0611 0.1669
Ge14 Ge 0.9389 0.0611 0.3331
Os1 Os 0.0736 0.9264 0.0577
Os2 Os 0.0736 0.9264 0.4423
Os3 Os 0.4825 0.5175 0.7500
Os4 Os 0.5175 0.4825 0.2500
Os5 Os 0.9264 0.0736 0.5577
Os6 Os 0.9264 0.0736 0.9423
```

Theoretical powder diffraction line list
Compound: Ge3Os2
Radiation: Cu Kα (weighted mean of Kα1 and Kα2)
Structure: the PBE geometry in OQMD
Intensities are scaled so that the largest is 100.

Peak list (8 most intense, 10 to 80 degrees two-theta, in order of rising 2θ)
24.45°, intensity 63; 30.79°, intensity 28; 36.18°, intensity 20; 39.70°, intensity 100; 44.10°, intensity 35; 44.61°, intensity 57; 51.06°, intensity 38; 64.53°, intensity 24

Crystal structure
```
data_Ge3Os2
_space_group_name_H-M_alt 'P 1'
_space_group_IT_number 1
_space_group_name_Hall 'P 1'
_cell_length_a 5.8083
_cell_length_b 5.8083
_cell_length_c 9.3480
_cell_angle_alpha 90.00
_cell_angle_beta 90.00
_cell_angle_gamma 90.00
loop_
_atom_site_label
_atom_site_type_symbol
_atom_site_fract_x
_atom_site_fract_y
_atom_site_fract_z
Ge1 Ge 0.1490 0.2828 0.4149
Ge2 Ge 0.1490 0.7172 0.9149
Ge3 Ge 0.2828 0.1490 0.0851
Ge4 Ge 0.2828 0.8510 0.5851
Ge5 Ge 0.3292 0.3292 0.7500
Ge6 Ge 0.3292 0.6708 0.2500
Ge7 Ge 0.6708 0.3292 0.2500
Ge8 Ge 0.6708 0.6708 0.7500
Ge9 Ge 0.7172 0.1490 0.5851
Ge10 Ge 0.7172 0.8510 0.0851
Ge11 Ge 0.8510 0.2828 0.9149
Ge12 Ge 0.8510 0.7172 0.4149
Os1 Os 0.0000 0.0000 0.2500
Os2 Os 0.0000 0.0000 0.7500
Os3 Os 0.0000 0.5000 0.1247
Os4 Os 0.0000 0.5000 0.6247
Os5 Os 0.5000 0.0000 0.3753
Os6 Os 0.5000 0.0000 0.8753
Os7 Os 0.5000 0.5000 0.0000
Os8 Os 0.5000 0.5000 0.5000
```

Theoretical powder diffraction line list
Compound: PrSmGe2Os2
Radiation: Cu Kα (weighted mean of Kα1 and Kα2)
Structure: the PBE geometry in OQMD
Intensities are scaled so that the largest is 100.

Peak list (8 most intense, 10 to 80 degrees two-theta, in order of rising 2θ)
12.65°, intensity 75; 32.26°, intensity 70; 33.08°, intensity 32; 39.39°, intensity 100; 42.28°, intensity 57; 58.57°, intensity 18; 61.33°, intensity 19; 75.37°, intensity 30

Crystal structure
```
data_PrSmGe2Os2
_space_group_name_H-M_alt 'P 1'
_space_group_IT_number 1
_space_group_name_Hall 'P 1'
_cell_length_a 4.2752
_cell_length_b 4.2752
_cell_length_c 6.9993
_cell_angle_alpha 90.00
_cell_angle_beta 90.00
_cell_angle_gamma 90.00
loop_
_atom_site_label
_atom_site_type_symbol
_atom_site_fract_x
_atom_site_fract_y
_atom_site_fract_z
Pr1 Pr 0.0000 0.0000 0.0000
Sm1 Sm 0.5000 0.5000 0.6319
Ge1 Ge 0.0000 0.0000 0.5201
Ge2 Ge 0.5000 0.5000 0.1249
Os1 Os 0.0000 0.5000 0.3223
Os2 Os 0.5000 0.0000 0.3223
```

Theoretical powder diffraction line list
Compound: Re2Ge3Os2
Radiation: Cu Kα (weighted mean of Kα1 and Kα2)
Structure: the PBE geometry in OQMD
Intensities are scaled so that the largest is 100.

Peak list (8 most intense, 10 to 80 degrees two-theta, in order of rising 2θ)
29.72°, intensity 75; 42.23°, intensity 98; 42.82°, intensity 100; 52.99°, intensity 16; 61.71°, intensity 32; 76.79°, intensity 14; 78.03°, intensity 33; 78.44°, intensity 17

Crystal structure
```
data_Re2Ge3Os2
_space_group_name_H-M_alt 'P 1'
_space_group_IT_number 1
_space_group_name_Hall 'P 1'
_cell_length_a 7.4478
_cell_length_b 7.4478
_cell_length_c 7.4478
_cell_angle_alpha 32.94
_cell_angle_beta 32.94
_cell_angle_gamma 32.94
loop_
_atom_site_label
_atom_site_type_symbol
_atom_site_fract_x
_atom_site_fract_y
_atom_site_fract_z
Re1 Re 0.0000 0.0000 0.0000
Re2 Re 0.4963 0.4963 0.4963
Ge1 Ge 0.1233 0.1233 0.1233
Ge2 Ge 0.3649 0.3649 0.3649
Ge3 Ge 0.8821 0.8821 0.8821
Os1 Os 0.2452 0.2452 0.2452
Os2 Os 0.7558 0.7558 0.7558
```

Theoretical powder diffraction line list
Compound: ScGe2Os
Radiation: Cu Kα (weighted mean of Kα1 and Kα2)
Structure: the PBE geometry in OQMD
Intensities are scaled so that the largest is 100.

Peak list (8 most intense, 10 to 80 degrees two-theta, in order of rising 2θ)
18.98°, intensity 44; 20.83°, intensity 55; 21.64°, intensity 39; 37.23°, intensity 66; 39.10°, intensity 100; 41.11°, intensity 84; 44.10°, intensity 38; 49.26°, intensity 40

Crystal structure
```
data_ScGe2Os
_space_group_name_H-M_alt 'P 1'
_space_group_IT_number 1
_space_group_name_Hall 'P 1'
_cell_length_a 9.3512
_cell_length_b 10.3919
_cell_length_c 8.2142
_cell_angle_alpha 90.00
_cell_angle_beta 90.00
_cell_angle_gamma 90.00
loop_
_atom_site_label
_atom_site_type_symbol
_atom_site_fract_x
_atom_site_fract_y
_atom_site_fract_z
Sc1 Sc 0.1640 0.1776 0.0000
Sc2 Sc 0.1771 0.4495 0.2439
Sc3 Sc 0.1771 0.4495 0.7561
Sc4 Sc 0.3229 0.9495 0.2439
Sc5 Sc 0.3229 0.9495 0.7561
Sc6 Sc 0.3360 0.6776 0.0000
Sc7 Sc 0.6640 0.3224 0.0000
Sc8 Sc 0.6771 0.0505 0.2439
Sc9 Sc 0.6771 0.0505 0.7561
Sc10 Sc 0.8229 0.5505 0.2439
Sc11 Sc 0.8229 0.5505 0.7561
Sc12 Sc 0.8360 0.8224 0.0000
Ge1 Ge 0.0355 0.6157 0.0000
Ge2 Ge 0.0404 0.6152 0.5000
Ge3 Ge 0.1340 0.9037 0.5000
Ge4 Ge 0.1356 0.8985 0.0000
Ge5 Ge 0.1607 0.1808 0.3465
Ge6 Ge 0.1607 0.1808 0.6535
Ge7 Ge 0.3393 0.6808 0.3465
Ge8 Ge 0.3393 0.6808 0.6535
Ge9 Ge 0.3644 0.3985 0.0000
Ge10 Ge 0.3660 0.4037 0.5000
Ge11 Ge 0.4596 0.1152 0.5000
Ge12 Ge 0.4645 0.1157 0.0000
Ge13 Ge 0.5355 0.8843 0.0000
Ge14 Ge 0.5404 0.8848 0.5000
Ge15 Ge 0.6340 0.5963 0.5000
Ge16 Ge 0.6356 0.6015 0.0000
Ge17 Ge 0.6607 0.3192 0.3465
Ge18 Ge 0.6607 0.3192 0.6535
Ge19 Ge 0.8393 0.8192 0.3465
Ge20 Ge 0.8393 0.8192 0.6535
Ge21 Ge 0.8644 0.1015 0.0000
Ge22 Ge 0.8660 0.0963 0.5000
Ge23 Ge 0.9596 0.3848 0.5000
Ge24 Ge 0.9645 0.3843 0.0000
Os1 Os 0.0000 0.0000 0.2470
Os2 Os 0.0000 0.0000 0.7530
Os3 Os 0.0886 0.7368 0.2485
Os4 Os 0.0886 0.7368 0.7515
Os5 Os 0.4114 0.2368 0.2485
Os6 Os 0.4114 0.2368 0.7515
Os7 Os 0.5000 0.5000 0.2470
Os8 Os 0.5000 0.5000 0.7530
Os9 Os 0.5886 0.7632 0.2485
Os10 Os 0.5886 0.7632 0.7515
Os11 Os 0.9114 0.2632 0.2485
Os12 Os 0.9114 0.2632 0.7515
```